[1]
Starting from a crystal structure in Alexandria, relaxed with PBE, the powder X-ray diffraction pattern of NdDy12Sc5 was simulated for Cu Kα, 1.54184 Å.
No peak broadening, texture or thermal motion is included.

Cell and atoms:
```
NdDy12Sc5
1.0
3.025 -5.238 0.000
3.025 5.238 0.000
-2.016 0.000 16.824
Nd Dy Sc
1 12 5
Cartesian
0.000 0.000 0.000 Nd
2.010 3.479 2.816 Dy
1.009 1.744 5.713 Dy
-0.001 0.000 11.111 Dy
2.024 3.479 14.007 Dy
2.034 0.000 2.817 Dy
1.009 -1.744 5.713 Dy
3.025 1.744 11.111 Dy
2.000 0.000 14.007 Dy
2.010 -3.479 2.816 Dy
4.035 0.000 5.712 Dy
3.025 -1.744 11.111 Dy
2.024 -3.479 14.007 Dy
2.017 3.493 8.412 Sc
3.025 1.746 0.000 Sc
2.017 0.000 8.412 Sc
3.025 -1.746 0.000 Sc
2.017 -3.493 8.412 Sc
```

Most intense lines, 2θ = 15–90°, by intensity:
Position (°2θ)	d_spacing	intensity
30.86	2.897	1000
31.92	2.804	495
37.70	2.386	484
34.57	2.594	463
62.68	1.482	424
52.40	1.746	374
32.84	2.727	365
32.09	2.789	277
51.45	1.776	276
35.55	2.525	188

---

[2]
Starting from a crystal structure in Alexandria, relaxed with PBE, the powder X-ray diffraction pattern of Ho2ThSb3 was simulated for Cu Kα, 1.54184 Å.
No peak broadening, texture or thermal motion is included.

Cell and atoms:
```
Ho2ThSb3
1.0
4.427 0.000 0.000
0.000 6.271 0.000
0.000 0.000 13.186
Ho Th Sb
4 2 6
Cartesian
0.000 0.000 2.175 Ho
0.000 0.000 11.011 Ho
2.213 3.136 4.418 Ho
2.213 3.136 8.768 Ho
0.000 0.000 6.593 Th
2.213 3.136 0.000 Th
0.000 3.136 2.266 Sb
0.000 3.136 6.593 Sb
0.000 3.136 10.920 Sb
2.213 0.000 0.000 Sb
2.213 0.000 4.327 Sb
2.213 0.000 8.859 Sb
```

Most intense lines, 2θ = 15–90°, by intensity:
Position (°2θ)	d_spacing	intensity
28.62	3.119	1000
40.80	2.212	968
28.46	3.136	508
50.47	1.808	210
50.73	1.800	204
74.26	1.277	199
41.07	2.198	188
66.78	1.401	180
67.02	1.396	177
74.65	1.271	128

---

[3]
Starting from a crystal structure in Alexandria, relaxed with PBE, the powder X-ray diffraction pattern of SbPb3Se6 was simulated for Cu Kα, 1.54184 Å.
No peak broadening, texture or thermal motion is included.

Cell and atoms:
```
SbPb3Se6
1.0
0.000 5.736 5.835
4.786 0.000 5.835
4.786 5.736 0.000
Sb Pb Se
1 3 6
Cartesian
0.000 0.000 0.000 Sb
2.393 2.868 2.917 Pb
4.786 5.736 5.835 Pb
7.179 8.604 8.752 Pb
7.430 5.736 4.158 Se
4.786 2.798 5.835 Se
7.430 5.736 7.512 Se
2.142 5.736 4.158 Se
4.786 8.674 5.835 Se
2.142 5.736 7.512 Se
```

Most intense lines, 2θ = 15–90°, by intensity:
Position (°2θ)	d_spacing	intensity
24.05	3.700	1000
39.76	2.267	542
39.44	2.285	428
31.19	2.868	412
21.73	4.090	332
37.58	2.393	250
49.61	1.837	202
63.78	1.459	125
43.83	2.066	121
61.10	1.517	121

---

[4]
Starting from a crystal structure in Alexandria, relaxed with PBE, the powder X-ray diffraction pattern of NpBC was simulated for Cu Kα, 1.54184 Å.
No peak broadening, texture or thermal motion is included.

Cell and atoms:
```
NpBC
1.0
2.839 0.000 0.000
0.000 4.767 0.000
0.000 0.000 5.426
Np B C
2 2 2
Cartesian
0.000 0.000 0.000 Np
1.419 2.384 2.713 Np
0.000 0.000 2.587 B
1.419 2.384 5.300 B
0.000 2.384 4.669 C
1.419 0.000 1.956 C
```

Most intense lines, 2θ = 15–90°, by intensity:
Position (°2θ)	d_spacing	intensity
24.86	3.581	1000
35.70	2.515	462
36.85	2.439	420
50.31	1.814	388
52.92	1.730	309
33.02	2.713	302
37.74	2.384	234
60.72	1.525	187
51.00	1.791	182
54.25	1.691	147